Calculated PXRD pattern
Compound: YMg2GaNi2
Radiation: λ = 1.5418 Å (Cu Kα)
Structure: a DFT-relaxed cell (GGA-PBE, Alexandria)
Lines closer than 0.1° are merged.

Cell and atoms:
Lattice parameters (Å, degrees): 6.100 6.100 6.100 132.40 132.40 69.60
Fractional positions:
Y1 0.000 0.000 0.000
Mg1 0.250 0.750 0.500
Mg2 0.750 0.250 0.500
Ga1 0.500 0.500 0.000
Ni1 0.274 0.274 0.000
Ni2 0.726 0.726 0.000

Peak list (6 most intense, 2θ = 15–90°, in order of falling intensity)
| 2theta | intensity |
| --- | --- |
| 25.6 | 100 |
| 36.5 | 79 |
| 52.1 | 48 |
| 35.9 | 36 |
| 44.6 | 36 |
| 52.6 | 26 |



Calculated PXRD pattern
Compound: MgNpGa6
Radiation: λ = 1.5418 Å (Cu Kα)
Structure: a DFT-relaxed cell (GGA-PBE, Alexandria)
Lines closer than 0.1° are merged.

Cell and atoms:
Lattice parameters (Å, degrees): 4.269 4.269 8.255 90.00 90.00 90.00
Fractional positions:
Mg1 0.000 0.000 0.000
Np1 0.000 0.000 0.500
Ga1 0.000 0.500 0.241
Ga2 0.000 0.500 0.759
Ga3 0.500 0.000 0.241
Ga4 0.500 0.000 0.759
Ga5 0.500 0.500 0.000
Ga6 0.500 0.500 0.500

Peak list (6 most intense, 2θ = 15–90°, in order of falling intensity)
| 2theta | intensity |
| --- | --- |
| 36.9 | 100 |
| 42.3 | 34 |
| 23.5 | 27 |
| 73.9 | 26 |
| 62.6 | 22 |
| 43.9 | 20 |



Calculated PXRD pattern
Compound: Mg2GaOsO6
Radiation: λ = 1.5418 Å (Cu Kα)
Structure: a DFT-relaxed cell (GGA-PBE, Alexandria)
Lines closer than 0.1° are merged.

Cell and atoms:
Lattice parameters (Å, degrees): 5.219 5.219 4.861 90.00 90.00 90.00
Fractional positions:
Mg1 0.000 0.500 0.000
Mg2 0.500 0.000 0.000
Ga1 0.000 0.000 0.640
Os1 0.500 0.500 0.657
O1 0.000 0.000 0.272
O2 0.253 0.253 0.811
O3 0.253 0.747 0.811
O4 0.500 0.500 0.294
O5 0.747 0.253 0.811
O6 0.747 0.747 0.811

Peak list (6 most intense, 2θ = 15–90°, in order of falling intensity)
| 2theta | intensity |
| --- | --- |
| 30.4 | 100 |
| 18.3 | 75 |
| 24.1 | 70 |
| 44.6 | 38 |
| 34.4 | 37 |
| 17.0 | 34 |



Calculated PXRD pattern
Compound: TbMgGaO4
Radiation: λ = 1.5418 Å (Cu Kα)
Structure: a DFT-relaxed cell (GGA-PBE, Alexandria)
Lines closer than 0.1° are merged.

Cell and atoms:
Lattice parameters (Å, degrees): 6.267 6.267 6.267 120.49 118.13 91.21
Fractional positions:
Tb1 0.000 0.000 0.000
Tb2 0.500 0.000 0.500
Mg1 0.500 0.000 0.000
Mg2 0.500 0.500 0.500
Ga1 0.127 0.377 0.750
Ga2 0.873 0.623 0.250
O1 0.246 0.742 0.504
O2 0.258 0.262 0.504
O3 0.258 0.755 0.996
O4 0.262 0.258 0.004
O5 0.738 0.742 0.996
O6 0.742 0.245 0.004
O7 0.742 0.738 0.496
O8 0.754 0.258 0.496

Peak list (6 most intense, 2θ = 15–90°, in order of falling intensity)
| 2theta | intensity |
| --- | --- |
| 32.9 | 100 |
| 17.5 | 56 |
| 33.9 | 47 |
| 59.0 | 41 |
| 28.7 | 34 |
| 20.3 | 34 |



Calculated PXRD pattern
Compound: MgUGa2O8
Radiation: λ = 1.5418 Å (Cu Kα)
Structure: a DFT-relaxed cell (GGA-PBE, Alexandria)
Lines closer than 0.1° are merged.

Cell and atoms:
Lattice parameters (Å, degrees): 5.854 5.854 5.854 109.28 109.28 109.86
Fractional positions:
Mg1 0.000 0.000 0.000
U1 0.750 0.250 0.500
Ga1 0.250 0.750 0.500
Ga2 0.500 0.500 0.000
O1 0.057 0.358 0.301
O2 0.057 0.756 0.699
O3 0.118 0.324 0.793
O4 0.244 0.943 0.301
O5 0.531 0.324 0.207
O6 0.642 0.943 0.699
O7 0.676 0.469 0.793
O8 0.676 0.882 0.207

Peak list (6 most intense, 2θ = 15–90°, in order of falling intensity)
| 2theta | intensity |
| --- | --- |
| 18.6 | 100 |
| 26.3 | 79 |
| 32.5 | 75 |
| 50.5 | 65 |
| 32.4 | 23 |
| 42.2 | 22 |